[1]
The following is a simulated powder diffractogram of ZnCd2. It was derived from the PBE geometry in Alexandria, using Cu Kα (λ = 1.5418 Å).
Lines closer than 0.1° are merged.

Structure:
```
ZnCd2
1.0
3.2508 0.0000 0.0000
-1.6254 2.8153 0.0000
0.0000 0.0000 6.7785
Zn Cd
1 2
direct
0.0000 0.0000 0.0000
0.3333 0.6667 0.6819
0.6667 0.3333 0.3181
```

Largest 6 diffraction maxima, low angle first, 10° ≤ 2θ ≤ 80°:
| Position (°2θ) | intensity |
| --- | --- |
| 34.50 | 100 |
| 39.90 | 20 |
| 41.71 | 55 |
| 56.63 | 22 |
| 64.14 | 15 |
| 71.50 | 20 |

[2]
The following is a simulated powder diffractogram of Zn7Cd6. It was derived from the PBE geometry in Alexandria, using Cu Kα (λ = 1.5418 Å).
Lines closer than 0.1° are merged.

Structure:
```
Zn7Cd6
1.0
2.5432 1.4683 10.9640
-2.5432 1.4683 10.9640
0.0000 -2.9366 10.9640
Zn Cd
7 6
direct
0.0000 0.0000 0.0000
0.0970 0.0970 0.5935
0.0970 0.5935 0.0970
0.4065 0.9030 0.9030
0.5935 0.0970 0.0970
0.9030 0.4065 0.9030
0.9030 0.9030 0.4065
0.1528 0.1528 0.1528
0.3506 0.3506 0.3506
0.4529 0.4529 0.4529
0.5471 0.5471 0.5471
0.6494 0.6494 0.6494
0.8472 0.8472 0.8472
```

Largest 6 diffraction maxima, low angle first, 10° ≤ 2θ ≤ 80°:
| Position (°2θ) | intensity |
| --- | --- |
| 34.02 | 100 |
| 35.29 | 61 |
| 36.31 | 38 |
| 39.04 | 69 |
| 41.10 | 41 |
| 43.33 | 43 |

[3]
The following is a simulated powder diffractogram of ZnCd5. It was derived from the PBE geometry in Alexandria, using Cu Kα (λ = 1.5418 Å).
Lines closer than 0.1° are merged.

Structure:
```
ZnCd5
1.0
3.1787 0.0000 0.0000
-0.0219 6.8797 0.0000
-0.0248 -3.2222 6.1527
Zn Cd
1 5
direct
0.0000 0.0000 0.0000
0.4961 0.6662 0.0090
0.4986 0.1470 0.3821
0.5010 0.8060 0.6117
0.9973 0.2476 0.7738
0.9986 0.4622 0.2589
```

Largest 6 diffraction maxima, low angle first, 10° ≤ 2θ ≤ 80°:
| Position (°2θ) | intensity |
| --- | --- |
| 37.98 | 51 |
| 38.38 | 100 |
| 38.49 | 66 |
| 38.60 | 52 |
| 39.75 | 66 |
| 41.72 | 52 |

[4]
The following is a simulated powder diffractogram of Zn13Cd3. It was derived from the PBE geometry in Alexandria, using Cu Kα (λ = 1.5418 Å).
Lines closer than 0.1° are merged.

Structure:
```
Zn13Cd3
1.0
5.6805 0.0000 0.0000
0.0000 4.8494 4.8007
0.0000 -4.8494 4.8007
Zn Cd
13 3
direct
0.0000 0.0000 0.0000
0.0000 0.0847 0.6076
0.0000 0.5196 0.5196
0.0000 0.6076 0.0847
0.2449 0.7538 0.7538
0.2473 0.3527 0.8320
0.2473 0.8320 0.3527
0.5000 0.0879 0.5947
0.5000 0.5217 0.5217
0.5000 0.5947 0.0879
0.7527 0.3527 0.8320
0.7527 0.8320 0.3527
0.7551 0.7538 0.7538
0.2472 0.2650 0.2650
0.5000 0.0000 0.0000
0.7528 0.2650 0.2650
```

Largest 6 diffraction maxima, low angle first, 10° ≤ 2θ ≤ 80°:
| Position (°2θ) | intensity |
| --- | --- |
| 36.77 | 24 |
| 37.08 | 45 |
| 41.36 | 100 |
| 42.00 | 47 |
| 69.75 | 19 |
| 79.26 | 17 |

[5]
The following is a simulated powder diffractogram of ZrZnCd. It was derived from the PBE geometry in Alexandria, using Cu Kα (λ = 1.5418 Å).
Lines closer than 0.1° are merged.

Structure:
```
ZrZnCd
1.0
3.1193 0.0000 0.0000
0.0000 3.1193 0.0000
0.0000 0.0000 12.0642
Zr Zn Cd
2 2 2
direct
0.0000 0.0000 0.0000
0.5000 0.5000 0.5000
0.0000 0.0000 0.6529
0.5000 0.5000 0.1529
0.0000 0.0000 0.3101
0.5000 0.5000 0.8101
```

Largest 6 diffraction maxima, low angle first, 10° ≤ 2θ ≤ 80°:
| Position (°2θ) | intensity |
| --- | --- |
| 36.45 | 100 |
| 40.92 | 37 |
| 45.09 | 12 |
| 62.51 | 17 |
| 71.60 | 26 |
| 77.47 | 17 |

[6]
The following is a simulated powder diffractogram of Zr3Zn7Cd. It was derived from the PBE geometry in Alexandria, using Cu Kα (λ = 1.5418 Å).
Lines closer than 0.1° are merged.

Structure:
```
Zr3Zn7Cd
1.0
1.5642 -9.7584 0.0000
1.5642 9.7584 0.0000
0.0000 0.0000 13.1928
Zr Zn Cd
6 14 2
direct
0.1175 0.8825 0.5458
0.1175 0.8825 0.9542
0.2539 0.7461 0.2500
0.7461 0.2539 0.7500
0.8825 0.1175 0.0458
0.8825 0.1175 0.4542
0.2613 0.7387 0.5706
0.2613 0.7387 0.9294
0.3696 0.6304 0.6539
0.3696 0.6304 0.8461
0.4006 0.5994 0.2500
0.4932 0.5068 0.5885
0.4932 0.5068 0.9115
0.5068 0.4932 0.0885
0.5068 0.4932 0.4115
0.5994 0.4006 0.7500
0.6304 0.3696 0.1539
0.6304 0.3696 0.3461
0.7387 0.2613 0.0706
0.7387 0.2613 0.4294
0.0269 0.9731 0.2500
0.9731 0.0269 0.7500
```

Largest 6 diffraction maxima, low angle first, 10° ≤ 2θ ≤ 80°:
| Position (°2θ) | intensity |
| --- | --- |
| 34.60 | 57 |
| 35.52 | 100 |
| 36.84 | 68 |
| 37.48 | 40 |
| 39.36 | 68 |
| 44.20 | 38 |

[7]
The following is a simulated powder diffractogram of Zr5ZnCd. It was derived from the PBE geometry in Alexandria, using Cu Kα (λ = 1.5418 Å).
Lines closer than 0.1° are merged.

Structure:
```
Zr5ZnCd
1.0
5.2210 -2.9614 0.0000
5.2210 2.9614 0.0000
-5.1466 0.0000 10.3235
Zr Zn Cd
10 2 2
direct
0.0940 0.9060 0.7500
0.0977 0.3413 0.7192
0.1617 0.6858 0.9888
0.3142 0.8383 0.5112
0.3413 0.0977 0.2192
0.6587 0.9023 0.7808
0.6858 0.1617 0.4888
0.8383 0.3142 0.0112
0.9023 0.6587 0.2808
0.9060 0.0940 0.2500
0.0000 0.5000 0.5000
0.5000 0.0000 0.0000
0.4196 0.5804 0.2500
0.5804 0.4196 0.7500
```

Largest 6 diffraction maxima, low angle first, 10° ≤ 2θ ≤ 80°:
| Position (°2θ) | intensity |
| --- | --- |
| 34.79 | 100 |
| 34.94 | 50 |
| 36.92 | 34 |
| 38.77 | 26 |
| 39.02 | 33 |
| 39.14 | 36 |

[8]
The following is a simulated powder diffractogram of Zr2Zn6Cd. It was derived from the PBE geometry in Alexandria, using Cu Kα (λ = 1.5418 Å).
Lines closer than 0.1° are merged.

Structure:
```
Zr2Zn6Cd
1.0
5.5565 0.0000 0.0000
-2.7783 4.8121 0.0000
0.0000 0.0000 5.7929
Zr Zn Cd
2 6 1
direct
0.3333 0.6667 0.3753
0.6667 0.3333 0.6247
0.1810 0.3619 0.8390
0.1810 0.8190 0.8390
0.3619 0.1810 0.1610
0.6381 0.8190 0.8390
0.8190 0.1810 0.1610
0.8190 0.6381 0.1610
0.0000 0.0000 0.5000
```

Largest 6 diffraction maxima, low angle first, 10° ≤ 2θ ≤ 80°:
| Position (°2θ) | intensity |
| --- | --- |
| 35.85 | 71 |
| 36.20 | 68 |
| 40.60 | 100 |
| 49.23 | 19 |
| 67.42 | 25 |
| 71.22 | 22 |

[9]
The following is a simulated powder diffractogram of ZrCd. It was derived from the PBE geometry in Alexandria, using Cu Kα (λ = 1.5418 Å).
Lines closer than 0.1° are merged.

Structure:
```
ZrCd
1.0
13.0098 0.0000 0.0000
0.0000 3.2021 0.0000
-1.6784 0.0000 6.4012
Zr Cd
6 6
direct
0.0000 0.0000 0.0000
0.0076 0.0000 0.5203
0.1701 0.5000 0.8467
0.5000 0.5000 0.0000
0.5076 0.5000 0.5203
0.6701 0.0000 0.8467
0.1668 0.5000 0.3357
0.3302 0.0000 0.6642
0.3373 0.0000 0.1857
0.6668 0.0000 0.3357
0.8302 0.5000 0.6642
0.8373 0.5000 0.1857
```

Largest 6 diffraction maxima, low angle first, 10° ≤ 2θ ≤ 80°:
| Position (°2θ) | intensity |
| --- | --- |
| 34.53 | 100 |
| 35.26 | 95 |
| 39.15 | 70 |
| 43.13 | 26 |
| 59.65 | 39 |
| 67.53 | 26 |

[10]
The following is a simulated powder diffractogram of ZrCd22. It was derived from the PBE geometry in Alexandria, using Cu Kα (λ = 1.5418 Å).
Lines closer than 0.1° are merged.

Structure:
```
ZrCd22
1.0
0.0000 8.0142 8.0142
8.0142 0.0000 8.0142
8.0142 8.0142 0.0000
Zr Cd
2 44
direct
0.1250 0.1250 0.1250
0.8750 0.8750 0.8750
0.0000 0.0000 0.0000
0.0000 0.0000 0.5000
0.0000 0.5000 0.0000
0.0000 0.5000 0.5000
0.0583 0.3171 0.3171
0.0583 0.3171 0.8074
0.0583 0.8074 0.3171
0.1926 0.6829 0.6829
0.1926 0.6829 0.9417
0.1926 0.9417 0.6829
0.2345 0.2345 0.5155
0.2345 0.5155 0.2345
0.2345 0.5155 0.5155
0.3171 0.0583 0.3171
0.3171 0.0583 0.8074
0.3171 0.3171 0.0583
0.3171 0.3171 0.8074
0.3171 0.8074 0.0583
0.3171 0.8074 0.3171
0.4845 0.4845 0.7655
0.4845 0.7655 0.4845
0.4845 0.7655 0.7655
0.5000 0.0000 0.0000
0.5000 0.0000 0.5000
0.5000 0.5000 0.0000
0.5000 0.5000 0.5000
0.5155 0.2345 0.2345
0.5155 0.2345 0.5155
0.5155 0.5155 0.2345
0.6829 0.1926 0.6829
0.6829 0.1926 0.9417
0.6829 0.6829 0.1926
0.6829 0.6829 0.9417
0.6829 0.9417 0.1926
0.6829 0.9417 0.6829
0.7655 0.4845 0.4845
0.7655 0.4845 0.7655
0.7655 0.7655 0.4845
0.8074 0.0583 0.3171
0.8074 0.3171 0.0583
0.8074 0.3171 0.3171
0.9417 0.1926 0.6829
0.9417 0.6829 0.1926
0.9417 0.6829 0.6829
```

Largest 6 diffraction maxima, low angle first, 10° ≤ 2θ ≤ 80°:
| Position (°2θ) | intensity |
| --- | --- |
| 33.06 | 85 |
| 35.42 | 46 |
| 36.77 | 83 |
| 37.21 | 100 |
| 40.18 | 36 |
| 65.93 | 58 |

[11]
The following is a simulated powder diffractogram of ZrCd. It was derived from the PBE geometry in Alexandria, using Cu Kα (λ = 1.5418 Å).
Lines closer than 0.1° are merged.

Structure:
```
ZrCd
1.0
3.2800 0.0000 0.0000
-1.6400 2.8406 0.0000
0.0000 0.0000 29.8331
Zr Cd
6 6
direct
0.0000 0.0000 0.1261
0.0000 0.0000 0.8739
0.3333 0.6667 0.5406
0.3333 0.6667 0.7928
0.6667 0.3333 0.2072
0.6667 0.3333 0.4594
0.0000 0.0000 0.3747
0.0000 0.0000 0.6253
0.3333 0.6667 0.0414
0.3333 0.6667 0.2919
0.6667 0.3333 0.7081
0.6667 0.3333 0.9586
```

Largest 6 diffraction maxima, low angle first, 10° ≤ 2θ ≤ 80°:
| Position (°2θ) | intensity |
| --- | --- |
| 33.77 | 100 |
| 36.13 | 28 |
| 39.90 | 62 |
| 56.08 | 22 |
| 59.28 | 19 |
| 68.55 | 24 |

[12]
The following is a simulated powder diffractogram of ZrCd. It was derived from the PBE geometry in Alexandria, using Cu Kα (λ = 1.5418 Å).
Lines closer than 0.1° are merged.

Structure:
```
ZrCd
1.0
3.2242 0.0000 0.0000
0.0000 12.2216 0.0000
0.0000 0.0000 4.5452
Zr Cd
4 4
direct
0.0000 0.1824 0.2500
0.0000 0.8176 0.7500
0.5000 0.3176 0.7500
0.5000 0.6824 0.2500
0.0000 0.4319 0.2500
0.0000 0.5681 0.7500
0.5000 0.0681 0.7500
0.5000 0.9319 0.2500
```

Largest 6 diffraction maxima, low angle first, 10° ≤ 2θ ≤ 80°:
| Position (°2θ) | intensity |
| --- | --- |
| 34.90 | 86 |
| 35.40 | 100 |
| 35.51 | 34 |
| 39.66 | 37 |
| 40.84 | 22 |
| 69.04 | 27 |

[13]
The following is a simulated powder diffractogram of Zr5Cd3. It was derived from the PBE geometry in Alexandria, using Cu Kα (λ = 1.5418 Å).
Lines closer than 0.1° are merged.

Structure:
```
Zr5Cd3
1.0
-5.7510 5.7510 2.7206
5.7510 -5.7510 2.7206
5.7510 5.7510 -2.7206
Zr Cd
10 6
direct
0.0788 0.7748 0.8536
0.2252 0.0788 0.3040
0.2500 0.7500 0.5000
0.2748 0.5788 0.8536
0.4212 0.2748 0.6960
0.5788 0.7252 0.3040
0.7252 0.4212 0.1464
0.7500 0.2500 0.5000
0.7748 0.9212 0.6960
0.9212 0.2252 0.1464
0.1663 0.3337 0.5000
0.2500 0.2500 0.0000
0.3337 0.8337 0.1674
0.6663 0.1663 0.8326
0.7500 0.7500 0.0000
0.8337 0.6663 0.5000
```

Largest 6 diffraction maxima, low angle first, 10° ≤ 2θ ≤ 80°:
| Position (°2θ) | intensity |
| --- | --- |
| 32.54 | 34 |
| 34.88 | 63 |
| 36.19 | 100 |
| 36.54 | 50 |
| 39.87 | 30 |
| 60.93 | 21 |